CaLaFeO4: calculated powder XRD pattern (Cu Kα, 1.54184 Å), based on a crystal structure in the Materials Project, relaxed with GGA+U.
Neutral-atom scattering factors, no anomalous dispersion.

Atomic structure:
```
CaLaFeO4
1.0
3.9065 0.0000 0.0000
0.0000 3.9065 0.0000
0.0000 0.0000 12.2857
Ca La Fe O
2 2 2 8
direct
0.0000 0.0000 0.0000 Ca
0.5000 0.5000 0.5000 Ca
0.0000 0.0000 0.7161 La
0.5000 0.5000 0.2161 La
0.0000 0.0000 0.3662 Fe
0.5000 0.5000 0.8662 Fe
0.0000 0.0000 0.1849 O
0.0000 0.0000 0.5307 O
0.0000 0.5000 0.3566 O
0.0000 0.5000 0.8566 O
0.5000 0.0000 0.3566 O
0.5000 0.0000 0.8566 O
0.5000 0.5000 0.0307 O
0.5000 0.5000 0.6849 O
```

Top 10 peaks for 2θ = 5–70°, by intensity:
d [Å], Position (°2θ), intensity
2.827, 31.65, 100.0
2.762, 32.41, 72.6
1.953, 46.49, 40.5
3.723, 23.90, 38.9
6.143, 14.42, 38.2
1.607, 57.34, 37.1
2.054, 44.09, 26.3
2.080, 43.51, 23.3
1.645, 55.89, 18.4
1.413, 66.11, 16.6



CaLaFeO4: calculated powder XRD pattern (Cu Kα, 1.54184 Å), based on a crystal structure in the Materials Project, relaxed with GGA+U.
Neutral-atom scattering factors, no anomalous dispersion.

Atomic structure:
```
CaLaFeO4
1.0
2.7564 -6.2015 0.0000
2.7564 6.2015 0.0000
0.0000 0.0000 5.5074
Ca La Fe O
2 2 2 8
direct
0.1046 0.8954 0.7500 Ca
0.8954 0.1046 0.2500 Ca
0.3918 0.6082 0.7500 La
0.6082 0.3918 0.2500 La
0.2458 0.7542 0.2500 Fe
0.7542 0.2458 0.7500 Fe
0.0292 0.5357 0.9674 O
0.0796 0.9204 0.2500 O
0.4223 0.5777 0.2500 O
0.4643 0.9708 0.5326 O
0.5357 0.0292 0.0326 O
0.5777 0.4223 0.7500 O
0.9204 0.0796 0.7500 O
0.9708 0.4643 0.4674 O
```

Top 10 peaks for 2θ = 5–70°, by intensity:
d [Å], Position (°2θ), intensity
2.835, 31.55, 100.0
2.755, 32.50, 78.9
1.948, 46.62, 41.6
1.606, 57.39, 38.4
4.118, 21.58, 33.8
5.038, 17.61, 29.5
2.060, 43.96, 23.9
2.092, 43.24, 16.7
1.653, 55.58, 16.1
2.067, 43.79, 15.3



CaLa2Fe3O9: calculated powder XRD pattern (Cu Kα, 1.54184 Å), based on a crystal structure in the Materials Project, relaxed with GGA+U.
Neutral-atom scattering factors, no anomalous dispersion.

Atomic structure:
```
CaLa2Fe3O9
1.0
16.6632 0.0000 0.0000
0.0000 7.8479 0.0000
0.0000 0.0000 5.5444
Ca La Fe O
4 8 12 36
direct
0.1554 0.2500 0.0065 Ca
0.3446 0.7500 0.5065 Ca
0.6554 0.2500 0.4935 Ca
0.8446 0.7500 0.9935 Ca
0.0084 0.7500 0.5031 La
0.1776 0.7500 0.9923 La
0.3224 0.2500 0.4923 La
0.4916 0.2500 0.0031 La
0.5084 0.7500 0.9969 La
0.6776 0.7500 0.5077 La
0.8224 0.2500 0.0077 La
0.9916 0.2500 0.4969 La
0.0000 0.0000 0.0000 Fe
0.0000 0.5000 0.0000 Fe
0.1675 0.0014 0.4996 Fe
0.1675 0.4986 0.4996 Fe
0.3325 0.5014 0.9996 Fe
0.3325 0.9986 0.9996 Fe
0.5000 0.0000 0.5000 Fe
0.5000 0.5000 0.5000 Fe
0.6675 0.0014 0.0004 Fe
0.6675 0.4986 0.0004 Fe
0.8325 0.5014 0.5004 Fe
0.8325 0.9986 0.5004 Fe
0.0035 0.2500 0.9305 O
0.0711 0.0345 0.2873 O
0.0711 0.4655 0.2873 O
0.0945 0.5397 0.7811 O
0.0945 0.9603 0.7811 O
0.1613 0.7500 0.4283 O
0.1716 0.2500 0.5777 O
0.2373 0.0409 0.2124 O
0.2373 0.4591 0.2124 O
0.2627 0.5409 0.7124 O
0.2627 0.9591 0.7124 O
0.3284 0.7500 0.0777 O
0.3387 0.2500 0.9283 O
0.4055 0.0397 0.2811 O
0.4055 0.4603 0.2811 O
0.4289 0.5345 0.7873 O
0.4289 0.9655 0.7873 O
0.4965 0.7500 0.4305 O
0.5035 0.2500 0.5695 O
0.5711 0.0345 0.2127 O
0.5711 0.4655 0.2127 O
0.5945 0.5397 0.7189 O
0.5945 0.9603 0.7189 O
0.6613 0.7500 0.0717 O
0.6716 0.2500 0.9223 O
0.7373 0.0409 0.2876 O
0.7373 0.4591 0.2876 O
0.7627 0.5409 0.7876 O
0.7627 0.9591 0.7876 O
0.8284 0.7500 0.4223 O
0.8387 0.2500 0.5717 O
0.9055 0.0397 0.2189 O
0.9055 0.4603 0.2189 O
0.9289 0.5345 0.7127 O
0.9289 0.9655 0.7127 O
0.9965 0.7500 0.0695 O
```

Top 10 peaks for 2θ = 5–70°, by intensity:
d [Å], Position (°2θ), intensity
2.775, 32.26, 100.0
1.602, 57.54, 40.4
1.962, 46.27, 31.4
1.388, 67.50, 13.1
2.266, 39.79, 11.6
4.370, 20.32, 7.0
5.713, 15.51, 6.8
3.924, 22.66, 5.1
1.713, 53.48, 3.1
2.495, 36.00, 2.7